1.
Structure and computed X-ray powder pattern of SmMgGa (the PBE geometry in the Materials Project; Cu Kα).

Most intense lines, 5° ≤ 2θ ≤ 70°, in order of rising 2θ:
(0 0 1), 2θ = 19.7°, I 24; (2 0 0), 2θ = 27.8°, I 31; (1 1 1), 2θ = 31.3°, I 78; (2 0 1), 2θ = 34.3°, I 100; (2 1 0), 2θ = 37.1°, I 25; (0 0 2), 2θ = 40.1°, I 25; (3 0 0), 2θ = 42.3°, I 29; (3 1 1), 2θ = 55.5°, I 29

Cell and atoms:
Unit cell a=7.4095 b=7.4095 c=4.5015 alpha=90.00 beta=90.00 gamma=120.00
Space group P-62m (No. 189)
Symmetry-distinct sites (fractional):
Sm 0.0000 0.5763 0.0000
Mg 0.0000 0.2433 0.5000
Ga 0.0000 0.0000 0.0000
Ga 0.3333 0.6667 0.5000



2.
Structure and computed X-ray powder pattern of Mg14GaSn (the PBE geometry in the Materials Project; Cu Kα).

Most intense lines, 5° ≤ 2θ ≤ 70°, in order of rising 2θ:
(1 0 0), 2θ = 16.2°, I 32; (1 0 2), 2θ = 23.6°, I 27; (2 0 0), 2θ = 32.7°, I 28; (0 0 4), 2θ = 34.6°, I 26; (2 0 2), 2θ = 37.1°, I 100; (2 0 4), 2θ = 48.3°, I 18; (2 0 6), 2θ = 63.6°, I 20; (2 2 4), 2θ = 69.6°, I 19

Cell and atoms:
Unit cell a=6.3256 b=6.3256 c=10.3820 alpha=90.00 beta=90.00 gamma=120.00
Space group P-6m2 (No. 187)
Symmetry-distinct sites (fractional):
Mg 0.0000 0.0000 0.2497
Mg 0.9996 0.4998 0.2481
Mg 0.3335 0.1667 0.0000
Mg 0.3330 0.1665 0.5000
Ga 0.3333 0.6667 0.0000
Sn 0.3333 0.6667 0.5000



3.
Structure and computed X-ray powder pattern of Mg14GaSn (the PBE geometry in the Materials Project; Cu Kα).

Most intense lines, 5° ≤ 2θ ≤ 70°, in order of rising 2θ:
(1 0 0), 2θ = 8.6°, I 59; (1 0 2), 2θ = 18.6°, I 23; (0 2 2), 2θ = 32.1°, I 28; (0 0 4), 2θ = 33.3°, I 25; (4 0 0), 2θ = 34.7°, I 38; (2 2 2), 2θ = 36.6°, I 100; (2 0 4), 2θ = 37.7°, I 46; (6 2 2), 2θ = 63.5°, I 21

Cell and atoms:
Unit cell a=10.336 b=6.521 c=10.756 alpha=90.00 beta=90.00 gamma=90.00
Space group Amm2 (No. 38)
Symmetry-distinct sites (fractional):
Mg 0.000 0.000 0.000
Mg 0.000 0.000 0.500
Mg 0.000 0.250 0.251
Mg 0.246 0.000 0.168
Mg 0.250 0.000 0.666
Mg 0.251 0.246 0.419
Mg 0.500 0.250 0.250
Ga 0.500 0.000 0.504
Sn 0.500 0.000 0.001



4.
Structure and computed X-ray powder pattern of SrMg14Ga (the PBE geometry in the Materials Project; Cu Kα).

Most intense lines, 5° ≤ 2θ ≤ 70°, in order of rising 2θ:
(1 0 0), 2θ = 8.4°, I 37; (0 2 2), 2θ = 32.0°, I 26; (4 0 0), 2θ = 34.0°, I 39; (2 0 4), 2θ = 36.0°, I 50; (2 2 2), 2θ = 36.3°, I 100; (4 2 2), 2θ = 47.3°, I 17; (6 2 2), 2θ = 62.3°, I 18; (4 2 6), 2θ = 67.6°, I 19

Cell and atoms:
Unit cell a=10.560 b=6.442 c=11.334 alpha=90.00 beta=90.00 gamma=90.00
Space group Amm2 (No. 38)
Symmetry-distinct sites (fractional):
Sr 0.000 0.000 0.000
Mg 0.000 0.242 0.252
Mg 0.240 0.000 0.659
Mg 0.260 0.243 0.411
Mg 0.264 0.000 0.166
Mg 0.500 0.000 0.498
Mg 0.500 0.000 0.995
Mg 0.500 0.246 0.746
Ga 0.000 0.000 0.483



5.
Structure and computed X-ray powder pattern of SrMg14Ga (the PBE geometry in the Materials Project; Cu Kα).

Most intense lines, 5° ≤ 2θ ≤ 70°, in order of rising 2θ:
(1 0 0), 2θ = 15.7°, I 22; (1 0 2), 2θ = 23.1°, I 19; (2 0 0), 2θ = 31.8°, I 27; (0 0 4), 2θ = 34.0°, I 25; (2 0 2), 2θ = 36.1°, I 100; (2 2 0), 2θ = 56.6°, I 17; (2 0 6), 2θ = 62.2°, I 18; (2 2 4), 2θ = 67.7°, I 19

Cell and atoms:
Unit cell a=6.5068 b=6.5068 c=10.5576 alpha=90.00 beta=90.00 gamma=120.00
Space group P-6m2 (No. 187)
Symmetry-distinct sites (fractional):
Sr 0.0000 0.0000 0.0000
Mg 0.0131 0.5065 0.0000
Mg 0.1682 0.3364 0.2653
Mg 0.5027 0.0054 0.5000
Mg 0.6667 0.3333 0.2432
Ga 0.0000 0.0000 0.5000



6.
Structure and computed X-ray powder pattern of TbMgGa (the PBE geometry in the Materials Project; Cu Kα).

Most intense lines, 5° ≤ 2θ ≤ 70°, in order of rising 2θ:
(0 0 1), 2θ = 20.1°, I 27; (1 1 0), 2θ = 24.2°, I 29; (2 0 0), 2θ = 28.0°, I 31; (1 1 1), 2θ = 31.7°, I 91; (2 0 1), 2θ = 34.7°, I 100; (2 1 0), 2θ = 37.4°, I 27; (0 0 2), 2θ = 40.9°, I 26; (3 1 1), 2θ = 56.1°, I 31

Cell and atoms:
Unit cell a=7.3514 b=7.3514 c=4.4162 alpha=90.00 beta=90.00 gamma=120.00
Space group P-62m (No. 189)
Symmetry-distinct sites (fractional):
Tb 0.0000 0.5815 0.0000
Mg 0.0000 0.2458 0.5000
Ga 0.0000 0.0000 0.0000
Ga 0.3333 0.6667 0.5000



7.
Structure and computed X-ray powder pattern of Mg14GaW (the PBE geometry in the Materials Project; Cu Kα).

Most intense lines, 5° ≤ 2θ ≤ 70°, in order of rising 2θ:
(0 0 1), 2θ = 8.9°, I 21; (1 0 0), 2θ = 16.4°, I 60; (1 0 1), 2θ = 18.7°, I 23; (1 0 2), 2θ = 24.4°, I 40; (2 0 0), 2θ = 33.2°, I 31; (0 0 4), 2θ = 36.2°, I 24; (2 0 2), 2θ = 37.9°, I 100; (2 0 4), 2θ = 49.9°, I 19

Cell and atoms:
Unit cell a=6.2393 b=6.2393 c=9.9261 alpha=90.00 beta=90.00 gamma=120.00
Space group P-6m2 (No. 187)
Symmetry-distinct sites (fractional):
Mg 0.0000 0.0000 0.2490
Mg 0.0152 0.5076 0.2451
Mg 0.3343 0.1671 0.0000
Mg 0.3337 0.1668 0.5000
Ga 0.3333 0.6667 0.5000
W 0.3333 0.6667 0.0000



8.
Structure and computed X-ray powder pattern of Mg14GaW (the PBE geometry in the Materials Project; Cu Kα).

Most intense lines, 5° ≤ 2θ ≤ 70°, in order of rising 2θ:
(1 0 0), 2θ = 8.7°, I 100; (0 0 2), 2θ = 16.4°, I 26; (2 0 0), 2θ = 17.5°, I 21; (1 0 2), 2θ = 18.6°, I 37; (0 2 2), 2θ = 33.5°, I 27; (4 0 0), 2θ = 35.5°, I 33; (2 0 4), 2θ = 37.7°, I 45; (2 2 2), 2θ = 38.1°, I 85

Cell and atoms:
Unit cell a=10.111 b=6.150 c=10.815 alpha=90.00 beta=90.00 gamma=90.00
Space group Amm2 (No. 38)
Symmetry-distinct sites (fractional):
Mg 0.000 0.000 0.000
Mg 0.000 0.000 0.499
Mg 0.000 0.249 0.251
Mg 0.251 0.000 0.665
Mg 0.258 0.000 0.161
Mg 0.262 0.245 0.920
Mg 0.500 0.249 0.249
Ga 0.500 0.000 0.502
W 0.500 0.000 0.001